No. 1
# K2SeO4
Theoretical PXRD pattern, Cu Kα X-rays. Input: a DFT-relaxed cell (PBE, the Materials Project).
Neutral-atom scattering factors, no anomalous dispersion.

Top 6 peaks for 10 to 80 degrees two-theta, by angle:
2θ (°)  intensity
20.17  100.0
22.73  27.0
28.30  81.8
28.95  58.4
29.07  96.1
40.95  27.9

```
K2SeO4
1.0
7.8229 0.0000 0.0000
0.0000 6.1689 0.0000
0.0000 0.0000 10.6267
K Se O
8 4 16
direct
0.0079 0.2500 0.2069 K
0.1723 0.2500 0.5736 K
0.3277 0.7500 0.0736 K
0.4921 0.7500 0.7069 K
0.5079 0.2500 0.2931 K
0.6723 0.2500 0.9264 K
0.8277 0.7500 0.4264 K
0.9921 0.7500 0.7931 K
0.2192 0.2500 0.9130 Se
0.2808 0.7500 0.4130 Se
0.7192 0.2500 0.5870 Se
0.7808 0.7500 0.0870 Se
0.0093 0.2500 0.9393 O
0.1731 0.7500 0.5505 O
0.2253 0.5278 0.3314 O
0.2253 0.9722 0.3314 O
0.2747 0.0278 0.8314 O
0.2747 0.4722 0.8314 O
0.3269 0.2500 0.0505 O
0.4907 0.7500 0.4393 O
0.5093 0.2500 0.5607 O
0.6731 0.7500 0.9495 O
0.7253 0.5278 0.1686 O
0.7253 0.9722 0.1686 O
0.7747 0.0278 0.6686 O
0.7747 0.4722 0.6686 O
0.8269 0.2500 0.4495 O
0.9907 0.7500 0.0607 O
```


No. 2
# K2Se2O
Theoretical PXRD pattern, Cu Kα X-rays. Input: a DFT-relaxed cell (PBE, the Materials Project).
Neutral-atom scattering factors, no anomalous dispersion.

Top 6 peaks for 10 to 80 degrees two-theta, by angle:
2θ (°)  intensity
19.85  74.7
25.97  97.3
30.32  91.6
32.37  100.0
40.34  52.1
41.95  74.3

```
K2Se2O
1.0
5.5410 -3.4312 0.0000
5.5410 3.4312 0.0000
-0.4731 0.0000 6.6653
K Se O
4 4 2
direct
0.0794 0.6916 0.5919 K
0.3084 0.9206 0.9081 K
0.6916 0.0794 0.0919 K
0.9206 0.3084 0.4081 K
0.1439 0.5647 0.1029 Se
0.4353 0.8561 0.3971 Se
0.5647 0.1439 0.6029 Se
0.8561 0.4353 0.8971 Se
0.1448 0.8552 0.2500 O
0.8552 0.1448 0.7500 O
```


No. 3
# KSe2O
Theoretical PXRD pattern, Cu Kα X-rays. Input: a DFT-relaxed cell (PBE, the Materials Project).
Neutral-atom scattering factors, no anomalous dispersion.

Top 6 peaks for 10 to 80 degrees two-theta, by angle:
2θ (°)  intensity
17.80  87.4
23.34  93.9
26.37  100.0
33.01  68.7
33.17  94.3
35.01  54.1

```
KSe2O
1.0
7.9815 0.0000 0.0000
0.0000 7.3692 0.0000
-4.7358 0.0000 7.5459
K Se O
4 8 4
direct
0.0000 0.0782 0.0000 K
0.0000 0.9218 0.5000 K
0.4914 0.3848 0.4905 K
0.4914 0.6152 0.9905 K
0.0136 0.4032 0.6661 Se
0.0136 0.5968 0.1661 Se
0.4593 0.1577 0.8022 Se
0.4593 0.8423 0.3022 Se
0.5233 0.0948 0.1813 Se
0.5233 0.9052 0.6813 Se
0.8848 0.3564 0.2435 Se
0.8848 0.6436 0.7435 Se
0.3592 0.2625 0.1578 O
0.3592 0.7375 0.6578 O
0.8832 0.2114 0.6574 O
0.8832 0.7886 0.1574 O
```


No. 4
# K2Se2O7
Theoretical PXRD pattern, Cu Kα X-rays. Input: a DFT-relaxed cell (PBE, the Materials Project).
Neutral-atom scattering factors, no anomalous dispersion.

Top 6 peaks for 10 to 80 degrees two-theta, by angle:
2θ (°)  intensity
17.31  100.0
25.66  70.7
26.20  82.3
26.97  72.7
27.53  83.6
28.74  59.1

```
K2Se2O7
1.0
6.6224 -3.8932 0.0000
6.6224 3.8932 0.0000
-0.4291 0.0000 7.6703
K Se O
4 4 14
direct
0.0040 0.7050 0.6357 K
0.2950 0.9960 0.8643 K
0.7050 0.0040 0.1357 K
0.9960 0.2950 0.3643 K
0.2148 0.5749 0.1312 Se
0.4251 0.7852 0.3688 Se
0.5749 0.2148 0.6312 Se
0.7852 0.4251 0.8688 Se
0.0380 0.6421 0.2735 O
0.1471 0.7407 0.9773 O
0.2593 0.8529 0.5227 O
0.3148 0.3409 0.0642 O
0.3409 0.3148 0.5642 O
0.3579 0.9620 0.2265 O
0.4318 0.5682 0.2500 O
0.5682 0.4318 0.7500 O
0.6421 0.0380 0.7735 O
0.6591 0.6852 0.4358 O
0.6852 0.6591 0.9358 O
0.7407 0.1471 0.4773 O
0.8529 0.2593 0.0227 O
0.9620 0.3579 0.7265 O
```


No. 5
# KSmSe2O8
Theoretical PXRD pattern, Cu Kα X-rays. Input: a DFT-relaxed cell (PBE, the Materials Project).
Neutral-atom scattering factors, no anomalous dispersion.

Top 6 peaks for 10 to 80 degrees two-theta, by angle:
2θ (°)  intensity
25.29  62.7
27.12  100.0
28.65  78.5
32.29  34.2
45.35  32.7
48.66  50.5

```
KSmSe2O8
1.0
8.9267 0.0000 0.0000
0.0000 7.4372 0.0000
-0.2926 0.0000 11.0850
K Sm Se O
4 4 8 32
direct
0.0642 0.1477 0.3400 K
0.0642 0.3523 0.8400 K
0.9358 0.6477 0.1600 K
0.9358 0.8523 0.6600 K
0.4457 0.6665 0.6518 Sm
0.4457 0.8335 0.1518 Sm
0.5543 0.1665 0.8482 Sm
0.5543 0.3335 0.3482 Sm
0.2251 0.6588 0.4108 Se
0.2251 0.8412 0.9108 Se
0.3121 0.1655 0.6073 Se
0.3121 0.3345 0.1073 Se
0.6879 0.6655 0.8927 Se
0.6879 0.8345 0.3927 Se
0.7749 0.1588 0.0892 Se
0.7749 0.3412 0.5892 Se
0.0921 0.5200 0.3675 O
0.0921 0.9800 0.8675 O
0.1292 0.1439 0.6040 O
0.1292 0.3561 0.1040 O
0.2051 0.7462 0.0473 O
0.2051 0.7538 0.5473 O
0.2547 0.6823 0.8062 O
0.2547 0.8177 0.3062 O
0.3632 0.1571 0.1967 O
0.3632 0.3429 0.6967 O
0.3746 0.1732 0.4671 O
0.3746 0.3268 0.9671 O
0.3898 0.5517 0.4438 O
0.3898 0.9483 0.9438 O
0.4075 0.0018 0.6850 O
0.4075 0.4982 0.1850 O
0.5925 0.5018 0.8150 O
0.5925 0.9982 0.3150 O
0.6102 0.0517 0.0562 O
0.6102 0.4483 0.5562 O
0.6254 0.6732 0.0329 O
0.6254 0.8268 0.5329 O
0.6368 0.6571 0.3033 O
0.6368 0.8429 0.8033 O
0.7453 0.1823 0.6938 O
0.7453 0.3177 0.1938 O
0.7949 0.2462 0.4527 O
0.7949 0.2538 0.9527 O
0.8708 0.6439 0.8960 O
0.8708 0.8561 0.3960 O
0.9079 0.0200 0.1325 O
0.9079 0.4800 0.6325 O
```